Record 1
Theoretical powder diffractogram of Nd2HoScO6 for copper Kα, from a cell relaxed with GGA-PBE.

Atomic structure:
```
Nd2HoScO6
1.0
5.7058 0.0000 0.0000
0.0000 5.9555 0.0000
-5.6496 0.0000 8.3014
Nd Ho Sc O
4 2 2 12
direct
0.2317 0.0557 0.2506
0.2317 0.4443 0.7506
0.7683 0.5557 0.2494
0.7683 0.9443 0.7494
0.5000 0.0000 0.0000
0.5000 0.5000 0.5000
0.0000 0.0000 0.5000
0.0000 0.5000 0.0000
0.1185 0.2034 0.9310
0.1185 0.2966 0.4310
0.2319 0.6906 0.9349
0.2319 0.8094 0.4349
0.3685 0.0548 0.7425
0.3685 0.4452 0.2425
0.6315 0.5548 0.7575
0.6315 0.9452 0.2575
0.7681 0.1906 0.5651
0.7681 0.3094 0.0651
0.8815 0.7034 0.5690
0.8815 0.7966 0.0690
```

Most intense lines, 10° ≤ 2θ ≤ 90°, sorted by position:
18.33°, I = 21; 30.01°, I = 42; 30.50°, I = 100; 30.65°, I = 99; 31.36°, I = 44; 43.61°, I = 25; 43.95°, I = 38; 49.86°, I = 18; 53.64°, I = 25; 53.84°, I = 21; 55.19°, I = 22; 55.47°, I = 24

---

Record 2
Theoretical powder diffractogram of Pm13Dy2 for copper Kα, from a cell relaxed with GGA-PBE.

Atomic structure:
```
Pm13Dy2
1.0
6.7487 0.0000 0.0000
1.2353 9.0286 0.0000
1.2286 3.5218 8.3154
Pm Dy
13 2
direct
0.0000 0.0000 0.0000
0.1021 0.4350 0.7659
0.1956 0.1955 0.2062
0.2980 0.6290 0.9724
0.3041 0.9621 0.6376
0.3975 0.3980 0.4041
0.4986 0.1682 0.8346
0.5014 0.8318 0.1654
0.6025 0.6020 0.5959
0.6959 0.0379 0.3624
0.7020 0.3710 0.0276
0.8044 0.8045 0.7938
0.8979 0.5650 0.2341
0.0986 0.7681 0.4311
0.9014 0.2319 0.5689
```

Most intense lines, 10° ≤ 2θ ≤ 90°, sorted by position:
25.23°, I = 4; 31.05°, I = 100; 40.43°, I = 6; 44.49°, I = 17; 51.80°, I = 4; 55.25°, I = 19; 55.29°, I = 10; 61.65°, I = 14; 64.78°, I = 4; 73.57°, I = 6; 79.13°, I = 5; 87.39°, I = 3

---

Record 3
Theoretical powder diffractogram of Pm2Al5Ga3 for copper Kα, from a cell relaxed with GGA-PBE.

Atomic structure:
```
Pm2Al5Ga3
1.0
4.2561 0.0000 0.0000
0.0000 4.2561 0.0000
0.0000 0.0000 11.1664
Pm Al Ga
2 5 3
direct
0.0000 0.5000 0.2451
0.5000 0.0000 0.7549
0.0000 0.0000 0.0000
0.0000 0.0000 0.5000
0.0000 0.5000 0.8598
0.5000 0.0000 0.1402
0.5000 0.5000 0.0000
0.0000 0.5000 0.6372
0.5000 0.0000 0.3628
0.5000 0.5000 0.5000
```

Most intense lines, 10° ≤ 2θ ≤ 90°, sorted by position:
15.87°, I = 19; 22.35°, I = 26; 26.33°, I = 12; 29.68°, I = 35; 31.94°, I = 80; 33.84°, I = 100; 42.48°, I = 48; 45.89°, I = 42; 54.13°, I = 43; 61.64°, I = 16; 64.30°, I = 30; 72.20°, I = 22

---

Record 4
Theoretical powder diffractogram of Li3PS4 for copper Kα, from a cell relaxed with GGA-PBE.

Atomic structure:
```
Li3PS4
1.0
13.5661 0.0000 0.0000
0.0000 7.7981 0.0000
0.0000 0.0000 6.2460
Li P S
12 4 16
direct
0.0708 0.2500 0.2237
0.1568 0.0035 0.7989
0.1568 0.4965 0.7989
0.3432 0.5035 0.2989
0.3432 0.9965 0.2989
0.4292 0.7500 0.7237
0.5708 0.2500 0.2763
0.6568 0.0035 0.7011
0.6568 0.4965 0.7011
0.8432 0.5035 0.2011
0.8432 0.9965 0.2011
0.9292 0.7500 0.7763
0.0958 0.7500 0.3004
0.4042 0.2500 0.8004
0.5958 0.7500 0.1996
0.9042 0.2500 0.6996
0.0458 0.2500 0.8151
0.0940 0.7500 0.6315
0.1684 0.5336 0.1974
0.1684 0.9664 0.1974
0.3316 0.0336 0.6974
0.3316 0.4664 0.6974
0.4060 0.2500 0.1315
0.4542 0.7500 0.3151
0.5458 0.2500 0.6849
0.5940 0.7500 0.8685
0.6684 0.5336 0.3026
0.6684 0.9664 0.3026
0.8316 0.0336 0.8026
0.8316 0.4664 0.8026
0.9060 0.2500 0.3685
0.9542 0.7500 0.1849
```

Most intense lines, 10° ≤ 2θ ≤ 90°, sorted by position:
17.33°, I = 68; 18.20°, I = 48; 19.33°, I = 43; 26.34°, I = 100; 26.89°, I = 32; 28.58°, I = 50; 30.02°, I = 61; 39.26°, I = 25; 46.42°, I = 34; 46.59°, I = 20; 53.88°, I = 17; 55.43°, I = 20

---

Record 5
Theoretical powder diffractogram of ZrSc5Ru6 for copper Kα, from a cell relaxed with GGA-PBE.

Atomic structure:
```
ZrSc5Ru6
1.0
7.1756 -3.2276 0.0000
7.1756 3.2276 0.0000
-1.4452 0.0000 4.3297
Zr Sc Ru
1 5 6
direct
0.0000 0.0000 0.0000
0.1692 0.1692 0.6690
0.3338 0.3338 0.3337
0.5000 0.5000 0.0000
0.6662 0.6662 0.6663
0.8308 0.8308 0.3310
0.0827 0.5855 0.8341
0.2479 0.7521 0.5000
0.4145 0.9173 0.1659
0.5855 0.0827 0.8341
0.7521 0.2479 0.5000
0.9173 0.4145 0.1659
```

Most intense lines, 10° ≤ 2θ ≤ 90°, sorted by position:
27.67°, I = 11; 27.74°, I = 5; 39.53°, I = 100; 39.73°, I = 20; 48.88°, I = 2; 57.07°, I = 7; 57.26°, I = 13; 64.61°, I = 3; 71.64°, I = 19; 71.78°, I = 6; 71.98°, I = 13; 85.15°, I = 8

---

Record 6
Theoretical powder diffractogram of Mg2Cd for copper Kα, from a cell relaxed with GGA-PBE.

Atomic structure:
```
Mg2Cd
1.0
9.2261 0.0000 0.0000
0.0000 5.3873 0.0000
-3.1525 0.0000 5.2928
Mg Cd
8 4
direct
0.1680 0.0892 0.2506
0.1680 0.9108 0.7506
0.3320 0.4108 0.7494
0.3320 0.5892 0.2494
0.6680 0.4108 0.7506
0.6680 0.5892 0.2506
0.8320 0.0892 0.2494
0.8320 0.9108 0.7494
0.0000 0.4105 0.7500
0.0000 0.5895 0.2500
0.5000 0.0895 0.2500
0.5000 0.9105 0.7500
```

Most intense lines, 10° ≤ 2θ ≤ 90°, sorted by position:
19.93°, I = 67; 22.08°, I = 21; 22.43°, I = 35; 29.47°, I = 18; 33.56°, I = 25; 33.87°, I = 43; 34.07°, I = 18; 37.49°, I = 100; 37.93°, I = 45; 39.10°, I = 13; 48.72°, I = 15; 59.62°, I = 16

---

Record 7
Theoretical powder diffractogram of Cs4Rb3Cd for copper Kα, from a cell relaxed with GGA-PBE.

Atomic structure:
```
Cs4Rb3Cd
1.0
-9.1325 9.1325 4.4584
9.1325 -9.1325 4.4584
9.1325 9.1325 -4.4584
Cs Rb Cd
8 6 2
direct
0.0927 0.7753 0.8680
0.2247 0.0927 0.3174
0.2753 0.5927 0.8680
0.4073 0.2753 0.6826
0.5927 0.7247 0.3174
0.7247 0.4073 0.1320
0.7753 0.9073 0.6826
0.9073 0.2247 0.1320
0.1221 0.3779 0.5000
0.2500 0.2500 0.0000
0.3779 0.8779 0.2558
0.6221 0.1221 0.7442
0.7500 0.7500 0.0000
0.8779 0.6221 0.5000
0.2500 0.7500 0.5000
0.7500 0.2500 0.5000
```

Most intense lines, 10° ≤ 2θ ≤ 90°, sorted by position:
19.91°, I = 17; 20.16°, I = 100; 21.76°, I = 47; 22.19°, I = 26; 22.41°, I = 30; 24.26°, I = 28; 28.15°, I = 17; 34.73°, I = 16; 35.00°, I = 24; 35.71°, I = 25; 40.35°, I = 21; 43.53°, I = 18

---

Record 8
Theoretical powder diffractogram of LiAlSi2O6 for copper Kα, from a cell relaxed with GGA-PBE.

Atomic structure:
```
LiAlSi2O6
1.0
2.6488 -4.5763 0.0000
2.6488 4.5763 0.0000
0.0000 0.0000 5.5216
Li Al Si O
1 1 2 6
direct
0.0000 0.0000 0.0000
0.5000 0.5000 0.0000
0.0000 0.5000 0.3322
0.5000 0.0000 0.6678
0.1757 0.3851 0.1640
0.2277 0.7723 0.5000
0.3851 0.1757 0.8360
0.6149 0.8243 0.8360
0.7723 0.2277 0.5000
0.8243 0.6149 0.1640
```

Most intense lines, 10° ≤ 2θ ≤ 90°, sorted by position:
19.38°, I = 12; 25.26°, I = 100; 33.87°, I = 4; 39.34°, I = 4; 42.75°, I = 4; 47.60°, I = 21; 55.58°, I = 7; 63.43°, I = 4; 64.99°, I = 10; 70.42°, I = 3; 76.93°, I = 4; 78.09°, I = 4

---

Record 9
Theoretical powder diffractogram of RbMnPt2 for copper Kα, from a cell relaxed with GGA-PBE.

Atomic structure:
```
RbMnPt2
1.0
7.7573 0.0000 0.0000
0.0000 7.7573 0.0000
0.0000 0.0000 5.9595
Rb Mn Pt
4 4 8
direct
0.0000 0.0000 0.0000
0.0000 0.5000 0.2500
0.5000 0.0000 0.7500
0.5000 0.5000 0.5000
0.0000 0.0000 0.5000
0.0000 0.5000 0.7500
0.5000 0.0000 0.2500
0.5000 0.5000 0.0000
0.1870 0.2500 0.6250
0.2500 0.6870 0.8750
0.2500 0.8130 0.3750
0.3130 0.2500 0.1250
0.6870 0.7500 0.1250
0.7500 0.1870 0.3750
0.7500 0.3130 0.8750
0.8130 0.7500 0.6250
```

Most intense lines, 10° ≤ 2θ ≤ 90°, sorted by position:
22.93°, I = 31; 29.80°, I = 55; 32.65°, I = 66; 34.25°, I = 100; 37.93°, I = 21; 44.79°, I = 28; 46.85°, I = 16; 48.04°, I = 44; 50.90°, I = 18; 61.79°, I = 23; 63.77°, I = 14; 67.32°, I = 21

---

Record 10
Theoretical powder diffractogram of SrSn4Se6 for copper Kα, from a cell relaxed with GGA-PBE.

Atomic structure:
```
SrSn4Se6
1.0
6.2638 0.0000 0.0000
1.3197 6.2578 0.0000
2.7517 2.1117 8.6486
Sr Sn Se
1 4 6
direct
0.0000 0.0000 0.0000
0.3295 0.7326 0.3331
0.4124 0.2953 0.6953
0.8280 0.6810 0.7561
0.9585 0.3503 0.3157
0.0561 0.4956 0.9875
0.2982 0.7511 0.6168
0.4812 0.9662 0.0695
0.4987 0.3182 0.3688
0.8553 0.2754 0.6958
0.8989 0.7780 0.3521
```

Most intense lines, 10° ≤ 2θ ≤ 90°, sorted by position:
15.70°, I = 30; 18.30°, I = 39; 28.73°, I = 87; 29.26°, I = 56; 29.38°, I = 32; 29.71°, I = 44; 30.14°, I = 58; 31.02°, I = 100; 31.73°, I = 56; 37.60°, I = 46; 44.07°, I = 27; 45.51°, I = 38

---

Record 11
Theoretical powder diffractogram of Pm4Se6O19 for copper Kα, from a cell relaxed with GGA-PBE.

Atomic structure:
```
Pm4Se6O19
1.0
6.9039 0.0000 0.0000
-0.7335 8.4934 0.0000
-2.0380 -2.7059 8.8478
Pm Se O
4 6 19
direct
0.0000 0.0000 0.0000
0.0034 0.5274 0.4589
0.2953 0.5821 0.1010
0.7221 0.4453 0.8837
0.1735 0.2220 0.7496
0.3291 0.3056 0.3759
0.3732 0.7815 0.8569
0.6209 0.2359 0.1154
0.6717 0.7035 0.6194
0.7820 0.8802 0.3058
0.0918 0.3875 0.8724
0.1431 0.2861 0.4664
0.1887 0.7784 0.9609
0.1910 0.0885 0.8585
0.2540 0.1497 0.2108
0.2541 0.4798 0.3147
0.2540 0.6695 0.6768
0.4211 0.2768 0.7570
0.4939 0.6342 0.9253
0.5392 0.7986 0.2717
0.5408 0.4124 0.0774
0.7428 0.8471 0.7933
0.7451 0.3189 0.3003
0.7661 0.5296 0.6580
0.7952 0.9358 0.1495
0.8080 0.2304 0.0128
0.8484 0.7588 0.5302
0.9188 0.6773 0.2588
0.9523 0.6316 0.1092
```

Most intense lines, 10° ≤ 2θ ≤ 90°, sorted by position:
10.89°, I = 39; 23.86°, I = 35; 23.98°, I = 100; 25.06°, I = 49; 27.66°, I = 22; 27.94°, I = 26; 29.03°, I = 16; 29.28°, I = 16; 33.38°, I = 21; 35.49°, I = 23; 44.89°, I = 15; 49.10°, I = 16

---

Record 12
Theoretical powder diffractogram of Tb4TlGe2 for copper Kα, from a cell relaxed with GGA-PBE.

Atomic structure:
```
Tb4TlGe2
1.0
2.3396 1.3508 10.5348
-2.3396 1.3508 10.5348
0.0000 -2.7016 10.5348
Tb Tl Ge
4 1 2
direct
0.1143 0.1143 0.1143
0.2982 0.2982 0.2982
0.7018 0.7018 0.7018
0.8857 0.8857 0.8857
0.5000 0.5000 0.5000
0.4002 0.4002 0.4002
0.5998 0.5998 0.5998
```

Most intense lines, 10° ≤ 2θ ≤ 90°, sorted by position:
22.12°, I = 11; 26.12°, I = 100; 31.63°, I = 11; 36.04°, I = 77; 38.47°, I = 97; 47.10°, I = 21; 53.74°, I = 25; 59.00°, I = 9; 62.38°, I = 18; 68.02°, I = 24; 69.59°, I = 20; 82.44°, I = 10

---

What did the ninth record say?
Theoretical powder diffractogram of RbMnPt2 for copper Kα, from a cell relaxed with GGA-PBE.

Atomic structure:
```
RbMnPt2
1.0
7.7573 0.0000 0.0000
0.0000 7.7573 0.0000
0.0000 0.0000 5.9595
Rb Mn Pt
4 4 8
direct
0.0000 0.0000 0.0000
0.0000 0.5000 0.2500
0.5000 0.0000 0.7500
0.5000 0.5000 0.5000
0.0000 0.0000 0.5000
0.0000 0.5000 0.7500
0.5000 0.0000 0.2500
0.5000 0.5000 0.0000
0.1870 0.2500 0.6250
0.2500 0.6870 0.8750
0.2500 0.8130 0.3750
0.3130 0.2500 0.1250
0.6870 0.7500 0.1250
0.7500 0.1870 0.3750
0.7500 0.3130 0.8750
0.8130 0.7500 0.6250
```

Most intense lines, 10° ≤ 2θ ≤ 90°, sorted by position:
22.93°, I = 31; 29.80°, I = 55; 32.65°, I = 66; 34.25°, I = 100; 37.93°, I = 21; 44.79°, I = 28; 46.85°, I = 16; 48.04°, I = 44; 50.90°, I = 18; 61.79°, I = 23; 63.77°, I = 14; 67.32°, I = 21